TlTe2PbO8: computed powder XRD pattern (copper Kα), based on a PBE-relaxed structure.
Kinematic intensities with the Lorentz-polarization factor, no thermal factor.

Atomic structure:
```
data_TlTe2PbO8
_space_group_name_H-M_alt 'R 3 2'
_space_group_IT_number 155
_space_group_name_Hall 'R 3 2"'
_cell_length_a 5.4406
_cell_length_b 5.4406
_cell_length_c 23.4850
_cell_angle_alpha 90.00
_cell_angle_beta 90.00
_cell_angle_gamma 120.00
loop_
_atom_site_label
_atom_site_type_symbol
_atom_site_fract_x
_atom_site_fract_y
_atom_site_fract_z
Tl1 Tl 0.0000 0.0000 0.0000
Te1 Te 0.0000 0.0000 0.2456
Pb1 Pb 0.0000 0.0000 0.5000
O1 O 0.0000 0.0000 0.1670
O2 O 0.0103 0.3677 0.0651
```

Main lines, low angle first (2θ from 10° to 90°):
h k l	two_theta	Rel. int.
1 0 4	24.22	100.0
1 1 0	32.93	47.9
0 1 8	36.05	37.1
0 2 4	41.29	25.6
2 0 8	49.62	13.9
2 1 4	53.79	23.9
1 1 12	58.06	20.1
3 0 0	58.79	12.7
1 2 8	60.84	16.1
1 3 4	74.37	9.1